No. 1
AcH6RuPb: theoretical XRD peak list (Cu Kα (weighted mean of Kα1 and Kα2)), based on a DFT-relaxed cell (PBE, Alexandria).
Intensities are scaled so that the largest is 100.

The 10 most intense peaks (10° ≤ 2θ ≤ 90°), low angle first:
| (hkl) | 2θ (°) | I (rel.) |
| --- | --- | --- |
| 1 1 0 | 20.00 | 8 |
| 1 1 1 | 27.64 | 100 |
| 3 1 0 | 35.00 | 52 |
| 1 1 -2 | 43.60 | 19 |
| 4 0 1 | 45.17 | 28 |
| 3 1 2 | 52.87 | 14 |
| 4 0 -2 | 57.09 | 9 |
| 1 3 1 | 58.39 | 26 |
| 6 0 0 | 62.77 | 10 |
| 1 1 -3 | 62.94 | 10 |

Structural model:
```
data_AcH6RuPb
_chemical_formula_sum 'Ac2 H12 Ru2 Pb2'
_cell_length_a 8.8855
_cell_length_b 5.1251
_cell_length_c 4.6971
_cell_angle_alpha 90.00
_cell_angle_beta 90.09
_cell_angle_gamma 90.00
_symmetry_space_group_name_H-M 'C 1 m 1'
_symmetry_Int_Tables_number 8
loop_
_symmetry_equiv_pos_as_xyz
'x,y,z'
'x,-y,z'
'x+1/2,y+1/2,z'
'x+1/2,-y+1/2,z'
loop_
_atom_site_label
_atom_site_type_symbol
_atom_site_fract_x
_atom_site_fract_y
_atom_site_fract_z
_atom_site_occupancy
Ac1 Ac 0.0000 0.0000 0.0000 1
H1 H 0.1622 0.0000 0.4988 1
H2 H 0.2614 0.2157 0.9409 1
H3 H 0.4180 0.2556 0.4979 1
H4 H 0.4772 0.0000 0.9398 1
Ru1 Ru 0.3329 0.0000 0.7039 1
Pb1 Pb 0.1667 0.5000 0.4921 1
```

No. 2
V5ZnS8: theoretical XRD peak list (Cu Kα (weighted mean of Kα1 and Kα2)), based on a DFT-relaxed cell (PBE, Alexandria).
Intensities are scaled so that the largest is 100.

The 10 most intense peaks (10° ≤ 2θ ≤ 90°), low angle first:
| (hkl) | 2θ (°) | I (rel.) |
| --- | --- | --- |
| 2 2 0 | 24.96 | 36 |
| 3 1 1 | 29.35 | 100 |
| 4 0 0 | 35.58 | 51 |
| 4 2 2 | 43.95 | 14 |
| 5 1 1 | 46.77 | 46 |
| 4 4 0 | 51.20 | 95 |
| 5 5 3 | 71.85 | 17 |
| 8 0 0 | 75.34 | 13 |
| 5 5 5 | 82.84 | 12 |
| 8 4 0 | 86.19 | 12 |

Structural model:
```
data_V5ZnS8
_chemical_formula_sum 'V20 Zn4 S32'
_cell_length_a 10.0921
_cell_length_b 10.0921
_cell_length_c 10.0921
_cell_angle_alpha 90.00
_cell_angle_beta 90.00
_cell_angle_gamma 90.00
_symmetry_space_group_name_H-M 'F -4 3 m'
_symmetry_Int_Tables_number 216
_symmetry_space_group_name_Hall 'F -4 2 3'
loop_
_atom_site_label
_atom_site_type_symbol
_atom_site_fract_x
_atom_site_fract_y
_atom_site_fract_z
_atom_site_occupancy
V1 V 0.0000 0.0000 0.0000 1
V2 V 0.1246 0.1246 0.3754 1
Zn1 Zn 0.2500 0.2500 0.7500 1
S1 S 0.1161 0.1161 0.6161 1
S2 S 0.1318 0.1318 0.1318 1
```

No. 3
PmAlW: theoretical XRD peak list (Cu Kα (weighted mean of Kα1 and Kα2)), based on a DFT-relaxed cell (PBE, Alexandria).
Intensities are scaled so that the largest is 100.

The 10 most intense peaks (10° ≤ 2θ ≤ 90°), low angle first:
| (hkl) | 2θ (°) | I (rel.) |
| --- | --- | --- |
| 1 1 0 | 21.29 | 72 |
| 2 1 1 | 34.11 | 18 |
| 1 1 3 | 35.23 | 95 |
| 3 0 0 | 37.33 | 100 |
| 1 2 2 | 37.85 | 16 |
| 1 0 4 | 39.38 | 30 |
| 2 1 4 | 50.47 | 20 |
| 2 2 3 | 52.26 | 25 |
| 1 3 4 | 60.01 | 23 |
| 4 1 3 | 65.97 | 18 |

Structural model:
```
data_PmAlW
_chemical_formula_sum 'Pm9 Al9 W9'
_cell_length_a 8.3455
_cell_length_b 8.3455
_cell_length_c 9.6488
_cell_angle_alpha 90.00
_cell_angle_beta 90.00
_cell_angle_gamma 120.00
_symmetry_space_group_name_H-M 'R 3 2'
_symmetry_Int_Tables_number 155
_symmetry_space_group_name_Hall 'R 3 2"'
loop_
_atom_site_label
_atom_site_type_symbol
_atom_site_fract_x
_atom_site_fract_y
_atom_site_fract_z
_atom_site_occupancy
Pm1 Pm 0.0000 0.2934 0.0000 1
Al1 Al 0.0000 0.6728 0.5000 1
W1 W 0.0000 0.0000 0.2333 1
W2 W 0.0000 0.0000 0.5000 1
```

No. 4
Na3TiP2O8: theoretical XRD peak list (Cu Kα (weighted mean of Kα1 and Kα2)), based on a DFT-relaxed cell (PBE, Alexandria).
Intensities are scaled so that the largest is 100.

The 10 most intense peaks (10° ≤ 2θ ≤ 90°), low angle first:
| (hkl) | 2θ (°) | I (rel.) |
| --- | --- | --- |
| 0 0 1 | 13.09 | 22 |
| 1 0 1 | 23.24 | 64 |
| 0 1 2 | 32.77 | 61 |
| 1 1 0 | 33.43 | 100 |
| 2 0 1 | 41.11 | 12 |
| 2 0 2 | 47.51 | 59 |
| 1 2 2 | 59.34 | 17 |
| 3 0 0 | 59.76 | 16 |
| 1 1 4 | 65.25 | 18 |
| 2 2 0 | 70.24 | 23 |

Structural model:
```
data_Na3TiP2O8
_chemical_formula_sum 'Na3 Ti1 P2 O8'
_cell_length_a 5.3605
_cell_length_b 5.3605
_cell_length_c 6.7623
_cell_angle_alpha 90.00
_cell_angle_beta 90.00
_cell_angle_gamma 120.00
_symmetry_space_group_name_H-M 'P -3 m 1'
_symmetry_Int_Tables_number 164
_symmetry_space_group_name_Hall '-P 3 2"'
loop_
_atom_site_label
_atom_site_type_symbol
_atom_site_fract_x
_atom_site_fract_y
_atom_site_fract_z
_atom_site_occupancy
Na1 Na 0.0000 0.0000 0.0000 1
Na2 Na 0.3333 0.6667 0.6870 1
Ti1 Ti 0.0000 0.0000 0.5000 1
P1 P 0.3333 0.6667 0.2333 1
O1 O 0.1768 0.3537 0.3204 1
O2 O 0.3333 0.6667 0.0114 1
```

No. 5
PrB4Os4: theoretical XRD peak list (Cu Kα (weighted mean of Kα1 and Kα2)), based on a DFT-relaxed cell (PBE, Alexandria).
Intensities are scaled so that the largest is 100.

The 10 most intense peaks (10° ≤ 2θ ≤ 90°), low angle first:
| (hkl) | 2θ (°) | I (rel.) |
| --- | --- | --- |
| 1 1 0 | 16.40 | 35 |
| 1 1 1 | 27.71 | 20 |
| 2 1 1 | 34.48 | 100 |
| 1 3 0 | 37.19 | 60 |
| 2 2 1 | 40.24 | 32 |
| 3 1 1 | 43.73 | 18 |
| 1 0 2 | 46.87 | 29 |
| 2 3 1 | 48.58 | 26 |
| 1 4 2 | 69.01 | 18 |
| 4 3 2 | 78.72 | 15 |

Structural model:
```
data_PrB4Os4
_chemical_formula_sum 'Pr2 B8 Os8'
_cell_length_a 7.6445
_cell_length_b 7.6445
_cell_length_c 4.0081
_cell_angle_alpha 90.00
_cell_angle_beta 90.00
_cell_angle_gamma 90.00
_symmetry_space_group_name_H-M 'P 42/n'
_symmetry_Int_Tables_number 86
loop_
_symmetry_equiv_pos_as_xyz
'x,y,z'
'-x,-y,-z'
'-y,x+1/2,z+1/2'
'y,-x+1/2,-z+1/2'
'-x+1/2,-y+1/2,z'
'x+1/2,y+1/2,-z'
'y+1/2,-x,z+1/2'
'-y+1/2,x,-z+1/2'
loop_
_atom_site_label
_atom_site_type_symbol
_atom_site_fract_x
_atom_site_fract_y
_atom_site_fract_z
_atom_site_occupancy
Pr1 Pr 0.2500 0.2500 0.2500 1
B1 B 0.0312 0.9146 0.1396 1
Os1 Os 0.1040 0.6438 0.1386 1
```

No. 6
KHf2Mg2O7: theoretical XRD peak list (Cu Kα (weighted mean of Kα1 and Kα2)), based on a DFT-relaxed cell (PBE, Alexandria).
Intensities are scaled so that the largest is 100.

The 10 most intense peaks (10° ≤ 2θ ≤ 90°), low angle first:
| (hkl) | 2θ (°) | I (rel.) |
| --- | --- | --- |
| 0 0 4 | 19.85 | 36 |
| 1 0 1 | 21.97 | 100 |
| 1 0 3 | 26.14 | 56 |
| 1 1 0 | 30.43 | 39 |
| 1 0 5 | 33.04 | 64 |
| 1 1 4 | 36.60 | 25 |
| 2 0 0 | 43.58 | 43 |
| 2 1 1 | 49.32 | 24 |
| 2 1 5 | 55.75 | 30 |
| 2 0 8 | 60.87 | 23 |

Structural model:
```
data_KHf2Mg2O7
_chemical_formula_sum 'K2 Hf4 Mg4 O14'
_cell_length_a 4.1540
_cell_length_b 4.1540
_cell_length_c 17.8925
_cell_angle_alpha 90.00
_cell_angle_beta 90.00
_cell_angle_gamma 90.00
_symmetry_space_group_name_H-M 'I 4/m m m'
_symmetry_Int_Tables_number 139
_symmetry_space_group_name_Hall '-I 4 2'
loop_
_atom_site_label
_atom_site_type_symbol
_atom_site_fract_x
_atom_site_fract_y
_atom_site_fract_z
_atom_site_occupancy
K1 K 0.0000 0.0000 0.0000 1
Hf1 Hf 0.0000 0.0000 0.3862 1
Mg1 Mg 0.0000 0.5000 0.2500 1
O1 O 0.0000 0.0000 0.2657 1
O2 O 0.0000 0.0000 0.5000 1
O3 O 0.0000 0.5000 0.1262 1
```